Ga2Ag6Au: simulated X-ray powder pattern (Cu Kα (λ = 1.5418 Å)), based on the PBE geometry in Alexandria.
Intensities are scaled so that the largest is 100.

Cell lengths 2.956, 2.956, 21.270 Å; angles 90.00, 90.00, 120.00 degrees
Fractional coordinates of all 9 atoms:
Ga  0.000  0.000  0.170
Ga  0.000  0.000  0.830
Ag  0.000  0.000  0.387
Ag  0.000  0.000  0.613
Ag  0.667  0.333  0.065
Ag  0.667  0.333  0.275
Ag  0.667  0.333  0.725
Ag  0.667  0.333  0.935
Au  0.667  0.333  0.500

Top 6 peaks for 15° ≤ 2θ ≤ 90°, by angle:
hkl 1 0 0, 2θ = 35.06°, intensity 58; hkl 0 0 9, 2θ = 38.08°, intensity 47; hkl 1 0 4, 2θ = 39.05°, intensity 85; hkl 1 0 5, 2θ = 41.16°, intensity 100; hkl 1 1 0, 2θ = 62.89°, intensity 33; hkl 1 1 9, 2θ = 75.94°, intensity 35

GaAg12Au2: simulated X-ray powder pattern (Cu Kα (λ = 1.5418 Å)), based on the PBE geometry in Alexandria.
Intensities are scaled so that the largest is 100.

Cell lengths 5.427, 5.427, 20.145 Å; angles 90.00, 90.00, 90.00 degrees
Fractional coordinates of all 30 atoms:
Ga  0.250  0.750  0.000
Ga  0.750  0.250  0.000
Ag  0.000  0.000  0.096
Ag  0.000  0.000  0.904
Ag  0.000  0.500  0.096
Ag  0.000  0.500  0.904
Ag  0.071  0.571  0.436
Ag  0.071  0.929  0.564
Ag  0.250  0.250  0.202
Ag  0.250  0.250  0.334
Ag  0.250  0.250  0.666
Ag  0.250  0.250  0.798
Ag  0.429  0.571  0.564
Ag  0.429  0.929  0.436
Ag  0.500  0.000  0.096
Ag  0.500  0.000  0.904
Ag  0.500  0.500  0.096
Ag  0.500  0.500  0.904
Ag  0.571  0.071  0.564
Ag  0.571  0.429  0.436
Ag  0.750  0.750  0.202
Ag  0.750  0.750  0.334
Ag  0.750  0.750  0.666
Ag  0.750  0.750  0.798
Ag  0.929  0.071  0.436
Ag  0.929  0.429  0.564
Au  0.250  0.750  0.268
Au  0.250  0.750  0.732
Au  0.750  0.250  0.268
Au  0.750  0.250  0.732

Top 6 peaks for 15° ≤ 2θ ≤ 90°, by angle:
hkl 1 1 4, 2θ = 29.26°, intensity 35; hkl 2 0 2, 2θ = 34.22°, intensity 100; hkl 1 1 6, 2θ = 35.53°, intensity 32; hkl 2 0 4, 2θ = 37.65°, intensity 45; hkl 1 1 7, 2θ = 39.13°, intensity 42; hkl 2 2 0, 2θ = 47.38°, intensity 50